No. 1
Simulated PXRD pattern of LiIn4Hg2O8 for Cu Kα, 1.54184 Å, from DFT lattice parameters and positions (PBE).
Neutral-atom scattering factors, no anomalous dispersion.

Atomic structure:
a = 6.8734 Å, b = 6.8734 Å, c = 6.8734 Å
α = 120.07°, β = 119.92°, γ = 90.01°
Positions (direct):
Li: 0.0000 0.0000 0.0000
In: 0.1339 0.3990 0.2651
In: 0.1343 0.8684 0.2660
In: 0.1339 0.8688 0.7349
In: 0.6024 0.8684 0.7340
Hg: 0.5018 0.5018 0.0000
Hg: 0.7512 0.2512 0.5000
O: 0.3194 0.1072 0.2122
O: 0.3594 0.6427 0.7167
O: 0.3598 0.0772 0.7174
O: 0.3598 0.6424 0.2826
O: 0.8945 0.1077 0.2132
O: 0.8945 0.6812 0.7868
O: 0.8950 0.1072 0.7878
O: 0.9261 0.6427 0.2833

Largest 10 diffraction maxima, sorted by position, 5° ≤ 2θ ≤ 70°:
2theta  intensity
25.92  52
30.50  100
31.89  13
45.72  22
48.67  43
53.30  31
53.37  6
60.21  9
62.64  8
63.48  6



No. 2
Simulated PXRD pattern of Lu2InHg for Cu Kα, 1.54184 Å, from DFT lattice parameters and positions (PBE).
Neutral-atom scattering factors, no anomalous dispersion.

Atomic structure:
a = 7.3643 Å, b = 7.3643 Å, c = 7.3643 Å
α = 90.00°, β = 90.00°, γ = 90.00°
Positions (direct):
Lu: 0.2500 0.2500 0.2500
Lu: 0.2500 0.2500 0.7500
Lu: 0.2500 0.7500 0.2500
Lu: 0.2500 0.7500 0.7500
Lu: 0.7500 0.2500 0.2500
Lu: 0.7500 0.2500 0.7500
Lu: 0.7500 0.7500 0.2500
Lu: 0.7500 0.7500 0.7500
In: 0.0000 0.0000 0.0000
In: 0.0000 0.5000 0.5000
In: 0.5000 0.0000 0.5000
In: 0.5000 0.5000 0.0000
Hg: 0.0000 0.0000 0.5000
Hg: 0.0000 0.5000 0.0000
Hg: 0.5000 0.0000 0.0000
Hg: 0.5000 0.5000 0.5000

Largest 7 diffraction maxima, sorted by position, 5° ≤ 2θ ≤ 70°:
2theta  intensity
20.89  3
34.45  100
40.63  2
49.51  18
54.30  1
61.71  37
65.91  1



No. 3
Simulated PXRD pattern of In2HgO4 for Cu Kα, 1.54184 Å, from DFT lattice parameters and positions (PBE).
Neutral-atom scattering factors, no anomalous dispersion.

Atomic structure:
a = 6.6657 Å, b = 6.6657 Å, c = 6.6657 Å
α = 60.00°, β = 60.00°, γ = 60.00°
Positions (direct):
In: 0.0000 0.0000 0.0000
In: 0.0000 0.0000 0.5000
In: 0.0000 0.5000 0.0000
In: 0.5000 0.0000 0.0000
Hg: 0.3750 0.3750 0.3750
Hg: 0.6250 0.6250 0.6250
O: 0.2031 0.7656 0.7656
O: 0.2344 0.2344 0.2344
O: 0.2344 0.2344 0.7969
O: 0.2344 0.7969 0.2344
O: 0.7656 0.2031 0.7656
O: 0.7656 0.7656 0.2031
O: 0.7656 0.7656 0.7656
O: 0.7969 0.2344 0.2344

Largest 10 diffraction maxima, sorted by position, 5° ≤ 2θ ≤ 70°:
2theta  intensity
26.75  47
31.48  100
32.91  13
38.19  2
47.24  20
50.29  39
55.11  36
62.29  9
64.86  13
65.70  7



No. 4
Simulated PXRD pattern of PmInHg2 for Cu Kα, 1.54184 Å, from DFT lattice parameters and positions (PBE).
Neutral-atom scattering factors, no anomalous dispersion.

Atomic structure:
a = 7.4117 Å, b = 7.4117 Å, c = 7.4117 Å
α = 90.00°, β = 90.00°, γ = 90.00°
Positions (direct):
Pm: 0.0000 0.0000 0.0000
Pm: 0.0000 0.5000 0.5000
Pm: 0.5000 0.0000 0.5000
Pm: 0.5000 0.5000 0.0000
In: 0.0000 0.0000 0.5000
In: 0.0000 0.5000 0.0000
In: 0.5000 0.0000 0.0000
In: 0.5000 0.5000 0.5000
Hg: 0.2500 0.2500 0.2500
Hg: 0.2500 0.2500 0.7500
Hg: 0.2500 0.7500 0.2500
Hg: 0.2500 0.7500 0.7500
Hg: 0.7500 0.2500 0.2500
Hg: 0.7500 0.2500 0.7500
Hg: 0.7500 0.7500 0.2500
Hg: 0.7500 0.7500 0.7500

Largest 6 diffraction maxima, sorted by position, 5° ≤ 2θ ≤ 70°:
2theta  intensity
24.01  5
34.22  100
42.24  2
49.17  18
55.44  2
61.27  38



No. 5
Simulated PXRD pattern of Sc2InHg for Cu Kα, 1.54184 Å, from DFT lattice parameters and positions (PBE).
Neutral-atom scattering factors, no anomalous dispersion.

Atomic structure:
a = 7.1013 Å, b = 7.1013 Å, c = 7.1013 Å
α = 90.00°, β = 90.00°, γ = 90.00°
Positions (direct):
Sc: 0.2500 0.2500 0.2500
Sc: 0.2500 0.2500 0.7500
Sc: 0.2500 0.7500 0.2500
Sc: 0.2500 0.7500 0.7500
Sc: 0.7500 0.2500 0.2500
Sc: 0.7500 0.2500 0.7500
Sc: 0.7500 0.7500 0.2500
Sc: 0.7500 0.7500 0.7500
In: 0.0000 0.0000 0.0000
In: 0.0000 0.5000 0.5000
In: 0.5000 0.0000 0.5000
In: 0.5000 0.5000 0.0000
Hg: 0.0000 0.0000 0.5000
Hg: 0.0000 0.5000 0.0000
Hg: 0.5000 0.0000 0.0000
Hg: 0.5000 0.5000 0.5000

Largest 10 diffraction maxima, sorted by position, 5° ≤ 2θ ≤ 70°:
2theta  intensity
21.68  9
25.08  38
35.76  100
42.21  6
44.18  12
51.47  17
56.48  3
58.09  16
64.26  35
68.68  2



No. 6
Simulated PXRD pattern of SrIn3Hg for Cu Kα, 1.54184 Å, from DFT lattice parameters and positions (PBE).
Neutral-atom scattering factors, no anomalous dispersion.

Atomic structure:
a = 4.8368 Å, b = 4.8368 Å, c = 12.5231 Å
α = 90.00°, β = 90.00°, γ = 90.00°
Positions (direct):
Sr: 0.0000 0.0000 0.0000
Sr: 0.5000 0.5000 0.5000
In: 0.0000 0.0000 0.3890
In: 0.0000 0.5000 0.2481
In: 0.0000 0.5000 0.7481
In: 0.5000 0.0000 0.2481
In: 0.5000 0.0000 0.7481
In: 0.5000 0.5000 0.8890
Hg: 0.0000 0.0000 0.6099
Hg: 0.5000 0.5000 0.1099

Largest 10 diffraction maxima, sorted by position, 5° ≤ 2θ ≤ 70°:
2theta  intensity
19.68  47
28.24  49
29.77  100
37.18  75
39.00  63
40.56  44
47.33  24
53.59  26
56.19  34
68.24  24



No. 7
Simulated PXRD pattern of Tb2InHg for Cu Kα, 1.54184 Å, from DFT lattice parameters and positions (PBE).
Neutral-atom scattering factors, no anomalous dispersion.

Atomic structure:
a = 7.5344 Å, b = 7.5344 Å, c = 7.5344 Å
α = 90.00°, β = 90.00°, γ = 90.00°
Positions (direct):
Tb: 0.2500 0.2500 0.2500
Tb: 0.2500 0.2500 0.7500
Tb: 0.2500 0.7500 0.2500
Tb: 0.2500 0.7500 0.7500
Tb: 0.7500 0.2500 0.2500
Tb: 0.7500 0.2500 0.7500
Tb: 0.7500 0.7500 0.2500
Tb: 0.7500 0.7500 0.7500
In: 0.0000 0.0000 0.0000
In: 0.0000 0.5000 0.5000
In: 0.5000 0.0000 0.5000
In: 0.5000 0.5000 0.0000
Hg: 0.0000 0.0000 0.5000
Hg: 0.0000 0.5000 0.0000
Hg: 0.5000 0.0000 0.0000
Hg: 0.5000 0.5000 0.5000

Largest 7 diffraction maxima, sorted by position, 5° ≤ 2θ ≤ 70°:
2theta  intensity
20.42  4
33.64  100
39.68  2
48.32  18
52.97  1
60.17  38
64.24  1



No. 8
Simulated PXRD pattern of In2HgTe4 for Cu Kα, 1.54184 Å, from DFT lattice parameters and positions (PBE).
Neutral-atom scattering factors, no anomalous dispersion.

Atomic structure:
a = 6.1672 Å, b = 6.1672 Å, c = 11.9650 Å
α = 90.00°, β = 90.00°, γ = 90.00°
Positions (direct):
In: 0.0000 0.0000 0.0000
In: 0.0000 0.5000 0.2500
In: 0.5000 0.0000 0.7500
In: 0.5000 0.5000 0.5000
Hg: 0.0000 0.5000 0.7500
Hg: 0.5000 0.0000 0.2500
Te: 0.0000 0.0000 0.2442
Te: 0.0000 0.0000 0.7558
Te: 0.0000 0.5000 0.0085
Te: 0.0000 0.5000 0.4915
Te: 0.5000 0.0000 0.5085
Te: 0.5000 0.0000 0.9915
Te: 0.5000 0.5000 0.2558
Te: 0.5000 0.5000 0.7442

Largest 10 diffraction maxima, sorted by position, 5° ≤ 2θ ≤ 70°:
2theta  intensity
16.17  19
28.96  100
29.87  45
41.41  38
42.09  71
51.89  38
60.00  13
67.98  17
68.46  17
69.90  15



No. 9
Simulated PXRD pattern of In2HgTe4 for Cu Kα, 1.54184 Å, from DFT lattice parameters and positions (PBE).
Neutral-atom scattering factors, no anomalous dispersion.

Atomic structure:
a = 6.4135 Å, b = 6.4135 Å, c = 12.7179 Å
α = 90.00°, β = 90.00°, γ = 90.00°
Positions (direct):
In: 0.0000 0.0000 0.0000
In: 0.0000 0.5000 0.2500
In: 0.5000 0.0000 0.7500
In: 0.5000 0.5000 0.5000
Hg: 0.0000 0.0000 0.5000
Hg: 0.5000 0.5000 0.0000
Te: 0.2244 0.7302 0.8626
Te: 0.2302 0.2756 0.6374
Te: 0.2698 0.2244 0.1374
Te: 0.2756 0.7698 0.3626
Te: 0.7244 0.2302 0.3626
Te: 0.7302 0.7756 0.1374
Te: 0.7698 0.7244 0.6374
Te: 0.7756 0.2698 0.8626

Largest 10 diffraction maxima, sorted by position, 5° ≤ 2θ ≤ 70°:
2theta  intensity
19.57  7
24.10  100
31.24  9
31.99  10
39.75  25
39.93  50
47.03  30
47.34  14
57.48  8
63.48  11



No. 10
Simulated PXRD pattern of In2Hg5Te8 for Cu Kα, 1.54184 Å, from DFT lattice parameters and positions (PBE).
Neutral-atom scattering factors, no anomalous dispersion.

Atomic structure:
a = 9.2257 Å, b = 9.2257 Å, c = 9.2257 Å
α = 119.33°, β = 119.33°, γ = 91.16°
Positions (direct):
In: 0.2362 0.2362 0.0000
In: 0.7638 0.7638 0.0000
Hg: 0.2339 0.2339 0.4679
Hg: 0.2339 0.7661 0.0000
Hg: 0.2500 0.7500 0.5000
Hg: 0.7661 0.2339 0.0000
Hg: 0.7661 0.7661 0.5321
Te: 0.3752 0.1313 0.7561
Te: 0.3752 0.6191 0.2439
Te: 0.3809 0.6248 0.7561
Te: 0.4096 0.1377 0.2719
Te: 0.8623 0.1342 0.2719
Te: 0.8623 0.5904 0.7281
Te: 0.8658 0.1377 0.7281
Te: 0.8687 0.6248 0.2439

Largest 10 diffraction maxima, sorted by position, 5° ≤ 2θ ≤ 70°:
2theta  intensity
11.71  5
23.55  100
35.42  6
38.65  26
39.06  51
45.75  31
46.48  15
55.81  8
61.38  8
61.99  12



No. 11
Simulated PXRD pattern of InHgTe2 for Cu Kα, 1.54184 Å, from DFT lattice parameters and positions (PBE).
Neutral-atom scattering factors, no anomalous dispersion.

Atomic structure:
a = 4.9046 Å, b = 4.9046 Å, c = 23.0382 Å
α = 90.00°, β = 90.00°, γ = 120.00°
Positions (direct):
In: 0.0000 0.0000 0.0000
In: 0.3333 0.6667 0.6667
In: 0.6667 0.3333 0.3333
Hg: 0.0000 0.0000 0.4952
Hg: 0.3333 0.6667 0.1618
Hg: 0.6667 0.3333 0.8285
Te: 0.0000 0.0000 0.1278
Te: 0.0000 0.0000 0.6257
Te: 0.3333 0.6667 0.2924
Te: 0.3333 0.6667 0.7944
Te: 0.6667 0.3333 0.4611
Te: 0.6667 0.3333 0.9591

Largest 10 diffraction maxima, sorted by position, 5° ≤ 2θ ≤ 70°:
2theta  intensity
22.31  100
23.16  38
36.65  59
37.74  53
43.32  18
43.80  42
44.75  12
53.62  19
58.00  15
66.70  20



No. 12
Simulated PXRD pattern of Tm2InHg for Cu Kα, 1.54184 Å, from DFT lattice parameters and positions (PBE).
Neutral-atom scattering factors, no anomalous dispersion.

Atomic structure:
a = 7.4166 Å, b = 7.4166 Å, c = 7.4166 Å
α = 90.00°, β = 90.00°, γ = 90.00°
Positions (direct):
Tm: 0.2500 0.2500 0.2500
Tm: 0.2500 0.2500 0.7500
Tm: 0.2500 0.7500 0.2500
Tm: 0.2500 0.7500 0.7500
Tm: 0.7500 0.2500 0.2500
Tm: 0.7500 0.2500 0.7500
Tm: 0.7500 0.7500 0.2500
Tm: 0.7500 0.7500 0.7500
In: 0.0000 0.0000 0.0000
In: 0.0000 0.5000 0.5000
In: 0.5000 0.0000 0.5000
In: 0.5000 0.5000 0.0000
Hg: 0.0000 0.0000 0.5000
Hg: 0.0000 0.5000 0.0000
Hg: 0.5000 0.0000 0.0000
Hg: 0.5000 0.5000 0.5000

Largest 7 diffraction maxima, sorted by position, 5° ≤ 2θ ≤ 70°:
2theta  intensity
20.74  3
34.20  100
40.33  2
49.14  18
53.88  1
61.22  37
65.38  1